(1)
Computed powder diffraction line list
Compound: TbYZr
Radiation: Cu Kα (weighted mean of Kα1 and Kα2)
Structure: DFT lattice parameters and positions (PBE)
Peak positions follow from Bragg's law for the DFT cell and can differ from measured ones.

Main lines, low angle first (2θ = 15–90°):
2θ = 25.68°, rel. 15
2θ = 32.26°, rel. 88
2θ = 33.56°, rel. 100
2θ = 42.73°, rel. 23
2θ = 47.24°, rel. 30
2θ = 59.19°, rel. 30
2θ = 60.01°, rel. 18
2θ = 64.01°, rel. 29
2θ = 79.70°, rel. 12
2θ = 83.99°, rel. 14

Structural model:
```
6
Lattice="5.3405 0.0000 0.0000 -2.6703 4.6250 0.0000 0.0000 0.0000 6.9376" Properties=species:S:1:pos:R:3 pbc="T T T"
Tb 0.0000 3.0833 0.0000
Tb 2.6703 1.5417 0.0000
Y 0.0000 0.0000 1.8372
Y 0.0000 0.0000 5.1004
Zr 0.0000 3.0833 3.4688
Zr 2.6703 1.5417 3.4688
```

=====

(2)
Computed powder diffraction line list
Compound: Tb6Y3Zr
Radiation: Cu Kα (weighted mean of Kα1 and Kα2)
Structure: DFT lattice parameters and positions (PBE)
Peak positions follow from Bragg's law for the DFT cell and can differ from measured ones.

Main lines, low angle first (2θ = 15–90°):
2θ = 21.93°, rel. 20
2θ = 28.54°, rel. 62
2θ = 30.64°, rel. 100
2θ = 33.15°, rel. 39
2θ = 36.28°, rel. 81
2θ = 36.55°, rel. 39
2θ = 44.72°, rel. 23
2θ = 50.17°, rel. 24
2θ = 59.07°, rel. 20
2θ = 64.77°, rel. 43

Structural model:
```
20
Lattice="4.9172 0.0000 0.0000 0.0000 11.4642 0.0000 -0.0078 0.0000 11.4648" Properties=species:S:1:pos:R:3 pbc="T T T"
Tb 4.9132 0.0770 2.4640
Tb -0.0071 2.4609 11.3881
Tb -0.0032 3.2712 5.6557
Tb 4.9094 5.6551 8.1964
Tb 0.0001 5.8091 3.2684
Tb 4.9126 8.1930 5.8092
Tb 4.9165 9.0033 0.0767
Tb -0.0038 11.3872 9.0008
Tb 2.4548 1.6446 4.0894
Tb 2.4509 4.0875 9.8218
Tb 2.4585 7.3767 1.6430
Tb 2.4546 9.8196 7.3754
Y 2.4586 0.0000 0.0000
Y 2.4558 1.7367 7.4668
Y 2.4597 3.9954 1.7344
Y 2.4547 5.7321 5.7324
Y 2.4497 7.4688 9.7304
Y 2.4536 9.7275 3.9980
Zr -0.0039 0.0000 5.7324
Zr 0.0000 5.7321 0.0000
```

=====

(3)
Computed powder diffraction line list
Compound: Tb2Zn3
Radiation: Cu Kα (weighted mean of Kα1 and Kα2)
Structure: DFT lattice parameters and positions (PBE)
Peak positions follow from Bragg's law for the DFT cell and can differ from measured ones.

Main lines, low angle first (2θ = 15–90°):
2θ = 23.80°, rel. 27
2θ = 33.53°, rel. 100
2θ = 34.16°, rel. 61
2θ = 38.91°, rel. 51
2θ = 40.18°, rel. 33
2θ = 51.03°, rel. 16
2θ = 53.74°, rel. 33
2θ = 65.98°, rel. 21
2θ = 66.87°, rel. 14
2θ = 72.22°, rel. 17

Structural model:
```
10
Lattice="1.7896 -13.5085 0.0000 1.7896 13.5085 0.0000 0.0000 0.0000 4.4884" Properties=species:S:1:pos:R:3 pbc="T T T"
Tb 1.7896 11.5564 3.3663
Tb 1.7896 7.8601 1.1221
Tb 1.7896 -7.8601 3.3663
Tb 1.7896 -11.5564 1.1221
Zn 1.7896 4.5999 1.1221
Zn 1.7896 3.1814 3.3663
Zn 1.7896 0.6253 3.3663
Zn 1.7896 -0.6253 1.1221
Zn 1.7896 -3.1814 1.1221
Zn 1.7896 -4.5999 3.3663
```

=====

(4)
Computed powder diffraction line list
Compound: Tb3Zn11
Radiation: Cu Kα (weighted mean of Kα1 and Kα2)
Structure: DFT lattice parameters and positions (PBE)
Peak positions follow from Bragg's law for the DFT cell and can differ from measured ones.

Main lines, low angle first (2θ = 15–90°):
2θ = 34.39°, rel. 37
2θ = 35.46°, rel. 100
2θ = 35.76°, rel. 47
2θ = 36.80°, rel. 41
2θ = 37.13°, rel. 27
2θ = 39.43°, rel. 30
2θ = 40.59°, rel. 54
2θ = 46.74°, rel. 20
2θ = 54.22°, rel. 20
2θ = 69.72°, rel. 26

Structural model:
```
14
Lattice="-2.2227 4.3838 6.4887 2.2227 -4.3838 6.4887 2.2227 4.3838 -6.4887" Properties=species:S:1:pos:R:3 pbc="T T T"
Tb 0.0000 0.0000 0.0000
Tb 0.0000 0.0000 3.7844
Tb 0.0000 0.0000 9.1930
Zn 2.2227 -1.2367 2.0085
Zn 2.2227 -1.9094 4.6614
Zn 2.2227 1.2367 2.0085
Zn 2.2227 2.8506 0.0000
Zn 0.0000 2.4744 1.8273
Zn 0.0000 4.3838 0.0000
Zn 2.2227 1.9094 4.6614
Zn 0.0000 1.5332 6.4887
Zn 0.0000 3.1471 4.4802
Zn 0.0000 6.2932 1.8273
Zn 0.0000 5.6205 4.4802
```